# 1
Structure and computed X-ray powder pattern of Ba2CrAs (a crystal structure in Alexandria, relaxed with PBE; Cu Kα (λ = 1.5418 Å)).
Kinematic intensities with the Lorentz-polarization factor, no thermal factor.

Atomic structure:
```
data_Ba2CrAs
_chemical_formula_sum 'Ba4 Cr2 As2'
_space_group_name_H-M_alt 'I m m 2'
_space_group_IT_number 44
_space_group_name_Hall 'I 2 -2'
_cell_length_a 4.406
_cell_length_b 4.700
_cell_length_c 15.167
_cell_angle_alpha 90.00
_cell_angle_beta 90.00
_cell_angle_gamma 90.00
loop_
_atom_site_label
_atom_site_type_symbol
_atom_site_fract_x
_atom_site_fract_y
_atom_site_fract_z
Ba1 Ba 0.000 0.000 0.000
Ba2 Ba 0.000 0.500 0.253
Cr1 Cr 0.000 0.500 0.834
As1 As 0.000 0.000 0.420
```

Principal peaks in the range 2θ = 15–90°, by intensity:
Position (°2θ)	Rel. int.	h k l
30.20	100.0	1 1 2
25.88	50.6	0 1 3
35.94	26.6	1 0 5
21.00	25.4	1 0 1
38.30	18.5	0 2 0
23.46	17.3	0 0 4
49.10	17.0	2 1 3
53.53	16.4	1 2 5

# 2
Structure and computed X-ray powder pattern of Mo3Pt2Rh (a crystal structure in Alexandria, relaxed with PBE; Cu Kα (λ = 1.5418 Å)).
Kinematic intensities with the Lorentz-polarization factor, no thermal factor.

Atomic structure:
```
data_Mo3Pt2Rh
_chemical_formula_sum 'Mo12 Pt8 Rh4'
_space_group_name_H-M_alt 'C 1 2/c 1'
_space_group_IT_number 15
_space_group_name_Hall '-C 2yc'
_cell_length_a 11.672
_cell_length_b 7.225
_cell_length_c 4.906
_cell_angle_alpha 90.00
_cell_angle_beta 114.74
_cell_angle_gamma 90.00
loop_
_atom_site_label
_atom_site_type_symbol
_atom_site_fract_x
_atom_site_fract_y
_atom_site_fract_z
Mo1 Mo 0.000 0.140 0.250
Mo2 Mo 0.222 0.412 0.471
Pt1 Pt 0.125 0.203 0.875
Rh1 Rh 0.000 0.500 0.000
```

Principal peaks in the range 2θ = 15–90°, by intensity:
Position (°2θ)	Rel. int.	h k l
40.66	100.0	3 1 1
40.15	43.2	4 2 -1
41.78	40.5	1 3 -1
36.64	40.3	2 0 -2
42.30	37.1	4 2 0
38.33	34.3	1 3 0
21.90	30.8	1 1 -1
39.73	18.6	3 1 -2

# 3
Structure and computed X-ray powder pattern of ZrSc5 (a crystal structure in Alexandria, relaxed with PBE; Cu Kα (λ = 1.5418 Å)).
Kinematic intensities with the Lorentz-polarization factor, no thermal factor.

Atomic structure:
```
data_ZrSc5
_chemical_formula_sum 'Zr1 Sc5'
_space_group_name_H-M_alt 'P -6 2 m'
_space_group_IT_number 189
_space_group_name_Hall 'P -6 -2'
_cell_length_a 5.7109
_cell_length_b 5.7109
_cell_length_c 5.1183
_cell_angle_alpha 90.00
_cell_angle_beta 90.00
_cell_angle_gamma 120.00
loop_
_atom_site_label
_atom_site_type_symbol
_atom_site_fract_x
_atom_site_fract_y
_atom_site_fract_z
Zr1 Zr 0.0000 0.0000 0.0000
Sc1 Sc 0.0000 0.6748 0.5000
Sc2 Sc 0.3333 0.6667 0.0000
```

Principal peaks in the range 2θ = 15–90°, by intensity:
Position (°2θ)	Rel. int.	h k l
36.02	100.0	1 1 1
31.33	26.3	1 1 0
35.06	23.9	0 0 2
67.59	18.1	3 0 2
55.76	16.9	3 0 0
63.52	16.8	1 1 3
47.72	15.1	1 1 2
68.19	13.3	2 2 1

# 4
Structure and computed X-ray powder pattern of Na3Tl2Hg9 (a crystal structure in Alexandria, relaxed with PBE; Cu Kα (λ = 1.5418 Å)).
Kinematic intensities with the Lorentz-polarization factor, no thermal factor.

Atomic structure:
```
data_Na3Tl2Hg9
_chemical_formula_sum 'Na6 Tl4 Hg18'
_space_group_name_H-M_alt 'C 1 2/m 1'
_space_group_IT_number 12
_space_group_name_Hall '-C 2y'
_cell_length_a 16.728
_cell_length_b 9.172
_cell_length_c 5.352
_cell_angle_alpha 90.00
_cell_angle_beta 98.94
_cell_angle_gamma 90.00
loop_
_atom_site_label
_atom_site_type_symbol
_atom_site_fract_x
_atom_site_fract_y
_atom_site_fract_z
Na1 Na 0.000 0.000 0.000
Na2 Na 0.237 0.500 0.735
Tl1 Tl 0.000 0.310 0.500
Hg1 Hg 0.000 0.500 0.000
Hg2 Hg 0.156 0.323 0.194
Hg3 Hg 0.160 0.158 0.706
```

Principal peaks in the range 2θ = 15–90°, by intensity:
Position (°2θ)	Rel. int.	h k l
19.38	100.0	0 2 0
33.94	99.6	2 0 -2
32.51	70.8	6 0 0
34.74	67.1	1 3 1
42.04	53.6	5 3 -1
43.42	33.9	4 0 2
60.11	29.6	1 3 -3
38.88	29.6	3 3 1

# 5
Structure and computed X-ray powder pattern of KIn2Ag9 (a crystal structure in Alexandria, relaxed with PBE; Cu Kα (λ = 1.5418 Å)).
Kinematic intensities with the Lorentz-polarization factor, no thermal factor.

Atomic structure:
```
data_KIn2Ag9
_chemical_formula_sum 'K1 In2 Ag9'
_space_group_name_H-M_alt 'P 6/m m m'
_space_group_IT_number 191
_space_group_name_Hall '-P 6 2'
_cell_length_a 9.6983
_cell_length_b 9.6983
_cell_length_c 3.0215
_cell_angle_alpha 90.00
_cell_angle_beta 90.00
_cell_angle_gamma 120.00
loop_
_atom_site_label
_atom_site_type_symbol
_atom_site_fract_x
_atom_site_fract_y
_atom_site_fract_z
K1 K 0.0000 0.0000 0.0000
In1 In 0.3333 0.6667 0.0000
Ag1 Ag 0.0000 0.5000 0.0000
Ag2 Ag 0.1811 0.3622 0.5000
```

Principal peaks in the range 2θ = 15–90°, by intensity:
Position (°2θ)	Rel. int.	h k l
37.08	100.0	2 2 0
36.64	48.0	2 0 1
41.25	37.3	2 1 1
73.93	26.3	2 2 2
34.99	21.6	1 1 1
53.12	13.4	4 0 1
66.83	13.3	6 0 0
44.10	13.1	3 0 1

# 6
Structure and computed X-ray powder pattern of Tb6MgAg (a crystal structure in Alexandria, relaxed with PBE; Cu Kα (λ = 1.5418 Å)).
Kinematic intensities with the Lorentz-polarization factor, no thermal factor.

Atomic structure:
```
data_Tb6MgAg
_chemical_formula_sum 'Tb18 Mg3 Ag3'
_space_group_name_H-M_alt 'R -3'
_space_group_IT_number 148
_space_group_name_Hall '-R 3'
_cell_length_a 8.9935
_cell_length_b 8.9935
_cell_length_c 9.9795
_cell_angle_alpha 90.00
_cell_angle_beta 90.00
_cell_angle_gamma 120.00
loop_
_atom_site_label
_atom_site_type_symbol
_atom_site_fract_x
_atom_site_fract_y
_atom_site_fract_z
Tb1 Tb 0.0224 0.2497 0.2222
Mg1 Mg 0.0000 0.0000 0.5000
Ag1 Ag 0.0000 0.0000 0.0000
```

Principal peaks in the range 2θ = 15–90°, by intensity:
Position (°2θ)	Rel. int.	h k l
31.69	100.0	2 1 1
33.51	59.1	1 1 3
35.40	58.1	3 -2 2
29.09	20.7	2 0 2
53.95	19.5	1 4 0
51.99	15.9	3 2 1
50.30	14.1	0 4 2
37.87	14.0	1 0 4